1.
Diffraction record for PuSn4Pd6. The X-ray diffraction stick pattern is computed, not measured: it uses the GGA-PBE geometry in Alexandria and CuKα.
Intensities are scaled so that the largest is 100.

Atomic structure:
```
data_PuSn4Pd6
_chemical_formula_sum 'Pu2 Sn8 Pd12'
_symmetry_space_group_name_H-M 'I -4 2 m'
_symmetry_Int_Tables_number 121
_symmetry_space_group_name_Hall 'I -4 2'
_cell_length_a 6.891
_cell_length_b 6.891
_cell_length_c 9.855
_cell_angle_alpha 90.00
_cell_angle_beta 90.00
_cell_angle_gamma 90.00
loop_
_atom_site_label
_atom_site_type_symbol
_atom_site_fract_x
_atom_site_fract_y
_atom_site_fract_z
Pu1 Pu 0.000 0.000 0.000
Sn1 Sn 0.210 0.210 0.327
Pd1 Pd 0.000 0.500 0.000
Pd2 Pd 0.160 0.160 0.600
```

Most intense lines, 15° ≤ 2θ ≤ 90°, in order of rising 2θ:
- hkl 1 0 3, d 2.965, 30.14°, intensity 50.6
- hkl 2 1 1, d 2.941, 30.39°, intensity 73.1
- hkl 2 0 2, d 2.824, 31.69°, intensity 100.0
- hkl 2 2 0, d 2.436, 36.89°, intensity 68.1
- hkl 3 0 1, d 2.237, 40.32°, intensity 70.6
- hkl 2 0 4, d 2.004, 45.25°, intensity 53.2

***

2.
Diffraction record for PuZnSnPd. The X-ray diffraction stick pattern is computed, not measured: it uses the GGA-PBE geometry in Alexandria and CuKα.
Intensities are scaled so that the largest is 100.

Atomic structure:
```
data_PuZnSnPd
_chemical_formula_sum 'Pu4 Zn4 Sn4 Pd4'
_symmetry_space_group_name_H-M 'F -4 3 m'
_symmetry_Int_Tables_number 216
_symmetry_space_group_name_Hall 'F -4 2 3'
_cell_length_a 6.909
_cell_length_b 6.909
_cell_length_c 6.909
_cell_angle_alpha 90.00
_cell_angle_beta 90.00
_cell_angle_gamma 90.00
loop_
_atom_site_label
_atom_site_type_symbol
_atom_site_fract_x
_atom_site_fract_y
_atom_site_fract_z
Pu1 Pu 0.000 0.000 0.000
Zn1 Zn 0.250 0.250 0.250
Sn1 Sn 0.250 0.250 0.750
Pd1 Pd 0.000 0.000 0.500
```

Most intense lines, 15° ≤ 2θ ≤ 90°, in order of rising 2θ:
- hkl 1 1 1, d 3.989, 22.29°, intensity 14.2
- hkl 2 2 0, d 2.443, 36.79°, intensity 100.0
- hkl 4 0 0, d 1.727, 53.01°, intensity 17.7
- hkl 4 2 2, d 1.410, 66.27°, intensity 36.3
- hkl 4 4 0, d 1.221, 78.27°, intensity 11.4
- hkl 6 2 0, d 1.092, 89.77°, intensity 17.0

***

3.
Diffraction record for PuTaPd6. The X-ray diffraction stick pattern is computed, not measured: it uses the GGA-PBE geometry in Alexandria and CuKα.
Intensities are scaled so that the largest is 100.

Atomic structure:
```
data_PuTaPd6
_chemical_formula_sum 'Pu1 Ta1 Pd6'
_symmetry_space_group_name_H-M 'P 4/m m m'
_symmetry_Int_Tables_number 123
_symmetry_space_group_name_Hall '-P 4 2'
_cell_length_a 4.060
_cell_length_b 4.060
_cell_length_c 8.176
_cell_angle_alpha 90.00
_cell_angle_beta 90.00
_cell_angle_gamma 90.00
loop_
_atom_site_label
_atom_site_type_symbol
_atom_site_fract_x
_atom_site_fract_y
_atom_site_fract_z
Pu1 Pu 0.000 0.000 0.000
Ta1 Ta 0.000 0.000 0.500
Pd1 Pd 0.000 0.500 0.270
Pd2 Pd 0.500 0.500 0.000
Pd3 Pd 0.500 0.500 0.500
```

Most intense lines, 15° ≤ 2θ ≤ 90°, in order of rising 2θ:
- hkl 1 1 2, d 2.349, 38.31°, intensity 100.0
- hkl 0 0 4, d 2.044, 44.31°, intensity 15.3
- hkl 2 0 0, d 2.030, 44.64°, intensity 33.3
- hkl 2 0 4, d 1.440, 64.72°, intensity 19.7
- hkl 2 2 0, d 1.435, 64.97°, intensity 10.8
- hkl 3 1 2, d 1.225, 78.01°, intensity 24.9

***

4.
Diffraction record for Pu3TaPd12. The X-ray diffraction stick pattern is computed, not measured: it uses the GGA-PBE geometry in Alexandria and CuKα.
Intensities are scaled so that the largest is 100.

Atomic structure:
```
data_Pu3TaPd12
_chemical_formula_sum 'Pu3 Ta1 Pd12'
_symmetry_space_group_name_H-M 'P 4/m m m'
_symmetry_Int_Tables_number 123
_symmetry_space_group_name_Hall '-P 4 2'
_cell_length_a 4.102
_cell_length_b 4.102
_cell_length_c 16.480
_cell_angle_alpha 90.00
_cell_angle_beta 90.00
_cell_angle_gamma 90.00
loop_
_atom_site_label
_atom_site_type_symbol
_atom_site_fract_x
_atom_site_fract_y
_atom_site_fract_z
Pu1 Pu 0.000 0.000 0.000
Pu2 Pu 0.000 0.000 0.252
Ta1 Ta 0.000 0.000 0.500
Pd1 Pd 0.000 0.500 0.128
Pd2 Pd 0.000 0.500 0.388
Pd3 Pd 0.500 0.500 0.000
Pd4 Pd 0.500 0.500 0.259
Pd5 Pd 0.500 0.500 0.500
```

Most intense lines, 15° ≤ 2θ ≤ 90°, in order of rising 2θ:
- hkl 0 0 4, d 4.109, 21.63°, intensity 13.0
- hkl 1 1 4, d 2.372, 37.93°, intensity 100.0
- hkl 0 0 8, d 2.060, 43.95°, intensity 15.2
- hkl 2 0 0, d 2.051, 44.15°, intensity 33.5
- hkl 2 0 8, d 1.454, 64.06°, intensity 19.8
- hkl 3 1 4, d 1.237, 77.07°, intensity 25.2

***

Number 1 is which compound? PuSn4Pd6